Entry 1:
Structure and theoretical X-ray diffraction stick pattern of Pm5DyHo (the PBE geometry in Alexandria; Cu Ka).
Neutral-atom scattering factors, no anomalous dispersion.

Main lines, low angle first (2θ = 10–90°):
- (0 0 2), 14.65°, rel. 100
- (1 1 0), 18.15°, rel. 64
- (0 2 0), 20.22°, rel. 74
- (0 0 4), 29.54°, rel. 96
- (2 0 0), 30.40°, rel. 89
- (1 3 0), 34.21°, rel. 67
- (2 0 4), 42.90°, rel. 70
- (1 3 4), 45.81°, rel. 59

Structural model:
Cell lengths 5.881, 8.783, 12.096 Å; angles 90.00, 90.00, 90.00 degrees
Space group Immm (No. 71)
Unique sites:
Pm 0.000 0.000 0.000 [2 per cell]
Pm 0.000 0.177 0.500 [4 per cell]
Pm 0.000 0.500 0.252 [4 per cell]
Dy 0.000 0.500 0.000 [2 per cell]
Ho 0.000 0.500 0.500 [2 per cell]

***

Entry 2:
Structure and theoretical X-ray diffraction stick pattern of In4Rh3 (the PBE geometry in Alexandria; Cu Ka).
Neutral-atom scattering factors, no anomalous dispersion.

Main lines, low angle first (2θ = 10–90°):
- (1 0 4), 27.82°, rel. 9
- (1 1 0), 39.58°, rel. 100
- (0 1 8), 39.93°, rel. 94
- (2 0 8), 57.48°, rel. 31
- (3 0 0), 71.80°, rel. 16
- (1 2 8), 72.04°, rel. 31
- (1 0 16), 72.74°, rel. 14
- (2 2 0), 85.24°, rel. 11

Structural model:
Cell lengths 4.5542, 4.5542, 22.0311 Å; angles 90.00, 90.00, 120.00 degrees
Space group R-3m (No. 166, hexagonal axes)
Unique sites:
In 0.0000 0.0000 0.1200 [6 per cell]
In 0.0000 0.0000 0.3714 [6 per cell]
Rh 0.0000 0.0000 0.2465 [6 per cell]
Rh 0.0000 0.0000 0.5000 [3 per cell]

***

Entry 3:
Structure and theoretical X-ray diffraction stick pattern of ReSbRu2 (the PBE geometry in Alexandria; Cu Ka).
Neutral-atom scattering factors, no anomalous dispersion.

Main lines, low angle first (2θ = 10–90°):
- (0 2 1), 39.24°, rel. 100
- (2 2 0), 39.57°, rel. 99
- (2 0 1), 44.21°, rel. 71
- (0 4 0), 48.92°, rel. 26
- (0 0 2), 63.83°, rel. 12
- (2 4 1), 68.04°, rel. 39
- (2 2 2), 77.77°, rel. 27
- (4 2 1), 78.43°, rel. 26

Structural model:
Cell lengths 5.756, 7.447, 2.917 Å; angles 90.00, 90.00, 90.00 degrees
Space group Cmmm (No. 65)
Unique sites:
Re 0.000 0.000 0.000 [2 per cell]
Sb 0.000 0.500 0.000 [2 per cell]
Ru 0.250 0.250 0.500 [4 per cell]

***

Entry 4:
Structure and theoretical X-ray diffraction stick pattern of Ce2GeOs2 (the PBE geometry in Alexandria; Cu Ka).
Neutral-atom scattering factors, no anomalous dispersion.

Main lines, low angle first (2θ = 10–90°):
- (2 0 -2), 24.98°, rel. 47
- (2 0 2), 34.20°, rel. 58
- (0 2 1), 34.89°, rel. 55
- (1 1 -3), 37.10°, rel. 54
- (2 2 -1), 38.16°, rel. 85
- (4 0 0), 38.29°, rel. 100
- (2 2 1), 41.70°, rel. 78
- (1 1 3), 42.44°, rel. 37

Structural model:
Cell lengths 9.870, 5.453, 8.119 Å; angles 90.00, 107.69, 90.00 degrees
Space group C2/c (No. 15)
Unique sites:
Ce 0.147 0.155 0.146 [8 per cell]
Ge 0.000 0.378 0.750 [4 per cell]
Os 0.134 0.345 0.528 [8 per cell]

***

Entry 5:
Structure and theoretical X-ray diffraction stick pattern of Dy4Hg5Au2 (the PBE geometry in Alexandria; Cu Ka).
Neutral-atom scattering factors, no anomalous dispersion.

Main lines, low angle first (2θ = 10–90°):
- (1 1 -2), 32.55°, rel. 74
- (1 1 2), 33.77°, rel. 83
- (2 1 0), 34.26°, rel. 100
- (3 0 0), 34.88°, rel. 40
- (1 0 -4), 37.34°, rel. 83
- (2 0 3), 37.63°, rel. 45
- (2 1 -2), 37.94°, rel. 61
- (0 2 0), 51.30°, rel. 39

Structural model:
Cell lengths 7.749, 3.562, 9.869 Å; angles 90.00, 95.29, 90.00 degrees
Space group P2/m (No. 10)
Unique sites:
Dy 0.180 0.000 0.369 [2 per cell]
Dy 0.240 0.000 0.936 [2 per cell]
Hg 0.170 0.500 0.645 [2 per cell]
Hg 0.460 0.500 0.180 [2 per cell]
Hg 0.500 0.500 0.500 [1 per cell]
Au 0.075 0.500 0.137 [2 per cell]